Rb5GdMo4O16: simulated powder XRD pattern (a wavelength of 1.5418 Å), based on a DFT-relaxed cell (PBE+U, Alexandria).
No peak broadening, texture or thermal motion is included.

Cell and atoms:
```
data_Rb5GdMo4O16
_cell_length_a 8.177
_cell_length_b 6.250
_cell_length_c 10.096
_cell_angle_alpha 90.00
_cell_angle_beta 106.32
_cell_angle_gamma 90.00
_symmetry_space_group_name_H-M 'P 1 2/m 1'
_symmetry_Int_Tables_number 10
_symmetry_space_group_name_Hall '-P 2y'
loop_
_atom_site_label
_atom_site_type_symbol
_atom_site_fract_x
_atom_site_fract_y
_atom_site_fract_z
Rb1 Rb 0.000 0.000 0.000
Rb2 Rb 0.146 0.500 0.710
Rb3 Rb 0.415 0.000 0.811
Gd1 Gd 0.500 0.500 0.500
Mo1 Mo 0.203 0.000 0.404
Mo2 Mo 0.292 0.500 0.105
O1 O 0.024 0.000 0.657
O2 O 0.100 0.500 0.155
O3 O 0.278 0.000 0.258
O4 O 0.289 0.243 0.501
O5 O 0.298 0.271 0.000
O6 O 0.473 0.500 0.265
```

Top 10 peaks for 15° ≤ 2θ ≤ 90°, low angle first:
2θ 26.2, intensity 100; 2θ 26.7, intensity 50; 2θ 28.1, intensity 91; 2θ 28.6, intensity 47; 2θ 38.1, intensity 17; 2θ 39.5, intensity 36; 2θ 45.7, intensity 24; 2θ 48.3, intensity 17; 2θ 49.2, intensity 35; 2θ 50.3, intensity 17